1.
Structure and computed powder XRD pattern of Pm5SmAl6 (a structure optimized by DFT (GGA-PBE); Cu Kα (λ = 1.5418 Å)).
No peak broadening, texture or thermal motion is included.

Crystal structure
Lattice parameters (Å, degrees): 9.047 9.047 5.222 106.70 106.70 48.33
Fractional coordinates of all 12 atoms:
Pm  0.000  0.000  0.000
Pm  0.166  0.166  0.666
Pm  0.333  0.333  0.333
Pm  0.667  0.667  0.667
Pm  0.834  0.834  0.334
Sm  0.500  0.500  0.000
Al  0.085  0.583  0.834
Al  0.252  0.748  0.500
Al  0.417  0.915  0.166
Al  0.583  0.085  0.834
Al  0.748  0.252  0.500
Al  0.915  0.417  0.166

Largest 10 diffraction maxima, low angle first, 10 to 90 degrees two-theta:
3.696 Å, 2θ 24.1, rel. 58
2.614 Å, 2θ 34.3, rel. 100
2.134 Å, 2θ 42.4, rel. 18
1.846 Å, 2θ 49.4, rel. 12
1.654 Å, 2θ 55.6, rel. 8
1.651 Å, 2θ 55.7, rel. 12
1.510 Å, 2θ 61.4, rel. 25
1.508 Å, 2θ 61.5, rel. 12
1.307 Å, 2θ 72.3, rel. 8
1.232 Å, 2θ 77.4, rel. 7

2.
Structure and computed powder XRD pattern of PrPBrO4 (a structure optimized by DFT (GGA-PBE); Cu Kα (λ = 1.5418 Å)).
No peak broadening, texture or thermal motion is included.

Crystal structure
Lattice parameters (Å, degrees): 6.556 6.556 6.800 98.62 98.62 58.71
Fractional coordinates of all 14 atoms:
Pr  0.201  0.201  0.313
Pr  0.799  0.799  0.687
P  0.137  0.137  0.754
P  0.863  0.863  0.246
Br  0.480  0.480  0.829
Br  0.520  0.520  0.171
O  0.002  0.002  0.737
O  0.013  0.631  0.364
O  0.200  0.200  0.971
O  0.369  0.987  0.636
O  0.631  0.013  0.364
O  0.800  0.800  0.029
O  0.987  0.369  0.636
O  0.998  0.998  0.263

Largest 10 diffraction maxima, low angle first, 10 to 90 degrees two-theta:
4.729 Å, 2θ 18.8, rel. 34
4.119 Å, 2θ 21.6, rel. 64
3.350 Å, 2θ 26.6, rel. 36
3.241 Å, 2θ 27.5, rel. 100
3.214 Å, 2θ 27.8, rel. 68
3.104 Å, 2θ 28.8, rel. 26
2.987 Å, 2θ 29.9, rel. 22
2.658 Å, 2θ 33.7, rel. 20
2.524 Å, 2θ 35.6, rel. 24
2.319 Å, 2θ 38.8, rel. 23

3.
Structure and computed powder XRD pattern of Cs3U2Se4S3 (a structure optimized by DFT (GGA-PBE); Cu Kα (λ = 1.5418 Å)).
No peak broadening, texture or thermal motion is included.

Crystal structure
Lattice parameters (Å, degrees): 14.875 14.875 14.875 159.72 158.66 29.61
Fractional coordinates of all 12 atoms:
Cs  0.000  0.000  0.000
Cs  0.185  0.185  0.000
Cs  0.815  0.815  0.000
U  0.409  0.409  0.000
U  0.591  0.591  0.000
Se  0.091  0.591  0.500
Se  0.318  0.318  0.000
Se  0.682  0.682  0.000
Se  0.909  0.409  0.500
S  0.409  0.909  0.500
S  0.500  0.500  0.000
S  0.591  0.091  0.500

Largest 10 diffraction maxima, low angle first, 10 to 90 degrees two-theta:
7.190 Å, 2θ 12.3, rel. 34
5.153 Å, 2θ 17.2, rel. 32
3.979 Å, 2θ 22.3, rel. 50
3.873 Å, 2θ 23.0, rel. 82
3.796 Å, 2θ 23.4, rel. 100
2.876 Å, 2θ 31.1, rel. 36
2.755 Å, 2θ 32.5, rel. 54
2.619 Å, 2θ 34.2, rel. 47
2.245 Å, 2θ 40.2, rel. 40
1.898 Å, 2θ 47.9, rel. 36